Entry 1:
# Tb5CdIn3
Calculated XRD peak list, CuKα. Input: a PBE-relaxed structure.
Neutral-atom scattering factors, no anomalous dispersion.

Largest 12 diffraction maxima, low angle first, 10 to 90 degrees two-theta:
(2 1 1), 2θ 32.2, intensity 266
(1 1 2), 2θ 33.0, intensity 1000
(3 0 0), 2θ 33.3, intensity 906
(3 1 1), 2θ 42.6, intensity 85
(2 2 2), 2θ 47.6, intensity 307
(0 0 4), 2θ 55.0, intensity 91
(4 1 2), 2θ 59.3, intensity 251
(3 3 0), 2θ 59.4, intensity 102
(4 2 1), 2θ 62.4, intensity 87
(3 0 4), 2θ 65.8, intensity 337
(5 2 2), 2θ 79.4, intensity 87
(3 3 4), 2θ 85.3, intensity 84

Structure:
a = 9.3303 Å, b = 9.3303 Å, c = 6.6750 Å
α = 90.00°, β = 90.00°, γ = 120.00°
Space group P6_3/mcm (No. 193)
Unique sites:
Tb: 0.0000 0.2921 0.2500 (multiplicity 6)
Tb: 0.3333 0.6667 0.0000 (multiplicity 4)
Cd: 0.0000 0.0000 0.0000 (multiplicity 2)
In: 0.0000 0.3696 0.7500 (multiplicity 6)

=====

Entry 2:
# Tb12Cd2In5
Calculated XRD peak list, CuKα. Input: a PBE-relaxed structure.
Neutral-atom scattering factors, no anomalous dispersion.

Largest 12 diffraction maxima, low angle first, 10 to 90 degrees two-theta:
(2 2 1), 2θ 29.1, intensity 281
(4 0 2), 2θ 30.8, intensity 329
(6 0 0), 2θ 31.5, intensity 480
(0 2 2), 2θ 31.6, intensity 1000
(1 1 -3), 2θ 31.7, intensity 194
(4 2 0), 2θ 32.4, intensity 824
(2 0 3), 2θ 32.8, intensity 268
(4 2 -1), 2θ 33.0, intensity 198
(4 0 -3), 2θ 33.7, intensity 403
(6 0 -2), 2θ 34.7, intensity 227
(0 4 0), 2θ 50.4, intensity 216
(4 2 -5), 2θ 58.0, intensity 229

Structure:
a = 17.2501 Å, b = 7.2451 Å, c = 9.1921 Å
α = 90.00°, β = 98.49°, γ = 90.00°
Space group C2/m (No. 12)
Unique sites:
Tb: 0.0089 0.0000 0.1869 (multiplicity 4)
Tb: 0.0416 0.5000 0.6946 (multiplicity 4)
Tb: 0.1517 0.2481 0.0059 (multiplicity 8)
Tb: 0.1614 0.2604 0.4181 (multiplicity 8)
Cd: 0.0000 0.1810 0.5000 (multiplicity 4)
In: 0.0000 0.5000 0.0000 (multiplicity 2)
In: 0.1957 0.0000 0.7324 (multiplicity 4)
In: 0.2288 0.5000 0.7478 (multiplicity 4)

=====

Entry 3:
# TbCd14In
Calculated XRD peak list, CuKα. Input: a PBE-relaxed structure.
Neutral-atom scattering factors, no anomalous dispersion.

Largest 9 diffraction maxima, low angle first, 10 to 90 degrees two-theta:
(2 0 2), 2θ 34.2, intensity 1000
(2 2 0), 2θ 38.5, intensity 361
(0 0 4), 2θ 42.0, intensity 138
(4 0 0), 2θ 55.6, intensity 119
(2 2 4), 2θ 58.3, intensity 201
(4 2 2), 2θ 66.9, intensity 266
(2 0 6), 2θ 71.7, intensity 103
(4 0 4), 2θ 72.1, intensity 105
(4 4 0), 2θ 82.5, intensity 37

Structure:
a = 6.6112 Å, b = 6.6112 Å, c = 8.6067 Å
α = 90.00°, β = 90.00°, γ = 90.00°
Space group P4/mmm (No. 123)
Unique sites:
Tb: 0.0000 0.0000 0.0000 (multiplicity 1)
Cd: 0.0000 0.0000 0.5000 (multiplicity 1)
Cd: 0.0000 0.5000 0.0000 (multiplicity 2)
Cd: 0.0000 0.5000 0.5000 (multiplicity 2)
Cd: 0.2499 0.2499 0.2584 (multiplicity 8)
Cd: 0.5000 0.5000 0.5000 (multiplicity 1)
In: 0.5000 0.5000 0.0000 (multiplicity 1)